For AlTc, DFT lattice parameters and positions (PBE) gives the computed X-ray diffraction stick pattern in this record (λ = 1.5418 Å (Cu Kα)).
Neutral-atom scattering factors, no anomalous dispersion.

Top 8 peaks for 10 to 80 degrees two-theta, most intense first:
hkl	2θ/deg	I/Imax
1 1 -1	41.31	100
1 1 1	42.19	80
2 0 0	41.63	80
1 0 -1	28.50	51
0 1 0	29.27	45
1 0 1	29.70	30
2 1 0	51.70	27
2 2 0	76.31	26

Structural model:
```
data_AlTc
_symmetry_space_group_name_H-M 'P 1'
_symmetry_Int_Tables_number 1
_symmetry_space_group_name_Hall 'P 1'
_cell_length_a 4.342
_cell_length_b 3.051
_cell_length_c 4.344
_cell_angle_alpha 90.00
_cell_angle_beta 92.32
_cell_angle_gamma 90.00
loop_
_atom_site_label
_atom_site_fract_x
_atom_site_fract_y
_atom_site_fract_z
Al1 0.216 0.000 0.285
Al2 0.784 0.000 0.715
Tc1 0.289 0.500 0.790
Tc2 0.711 0.500 0.210
```